[1]
Diffraction record for Cs16TlPb12. The XRD peak list is simulated, not measured: it uses a DFT-relaxed cell (GGA-PBE, Alexandria) and Cu Ka.
Lines closer than 0.1° are merged.

Structural model:
abc: 12.256 12.256 11.884
angles: 107.83 107.83 108.51
Fractional positions:
Cs  0.000  0.000  0.000
Cs  0.010  0.010  0.325
Cs  0.016  0.563  0.320
Cs  0.019  0.329  0.010
Cs  0.300  0.714  0.731
Cs  0.305  0.999  0.559
Cs  0.318  0.540  0.975
Cs  0.329  0.019  0.010
Cs  0.460  0.734  0.451
Cs  0.540  0.318  0.975
Cs  0.563  0.016  0.320
Cs  0.664  0.664  0.735
Cs  0.714  0.300  0.731
Cs  0.720  0.720  0.270
Cs  0.734  0.460  0.451
Cs  0.999  0.305  0.559
Tl  0.364  0.364  0.648
Pb  0.017  0.650  0.838
Pb  0.135  0.135  0.764
Pb  0.183  0.782  0.152
Pb  0.213  0.371  0.377
Pb  0.371  0.213  0.377
Pb  0.383  0.383  0.226
Pb  0.650  0.017  0.838
Pb  0.650  0.890  0.034
Pb  0.782  0.183  0.152
Pb  0.831  0.994  0.644
Pb  0.890  0.650  0.034
Pb  0.994  0.831  0.644

The 10 most intense peaks (10° ≤ 2θ ≤ 80°), by intensity:
| d/Å | intensity |
| --- | --- |
| 3.298 | 100 |
| 3.547 | 87 |
| 3.464 | 85 |
| 3.356 | 66 |
| 3.191 | 63 |
| 3.043 | 59 |
| 3.265 | 57 |
| 2.991 | 56 |
| 3.010 | 56 |
| 2.917 | 55 |

---

[2]
Diffraction record for CsTmPb. The XRD peak list is simulated, not measured: it uses a DFT-relaxed cell (GGA-PBE, Alexandria) and Cu Ka.
Lines closer than 0.1° are merged.

Structural model:
abc: 15.200 15.200 15.200
angles: 163.80 163.80 22.99
Fractional positions:
Cs  0.086  0.086  0.000
Cs  0.914  0.914  0.000
Tm  0.215  0.215  0.000
Tm  0.785  0.785  0.000
Pb  0.321  0.321  0.000
Pb  0.679  0.679  0.000

The 10 most intense peaks (10° ≤ 2θ ≤ 80°), by intensity:
| d/Å | intensity |
| --- | --- |
| 3.025 | 100 |
| 2.619 | 37 |
| 2.141 | 24 |
| 2.968 | 23 |
| 2.122 | 20 |
| 1.658 | 19 |
| 2.350 | 18 |
| 1.354 | 15 |
| 3.724 | 15 |
| 1.622 | 15 |

---

[3]
Diffraction record for CsTmPb. The XRD peak list is simulated, not measured: it uses a DFT-relaxed cell (GGA-PBE, Alexandria) and Cu Ka.
Lines closer than 0.1° are merged.

Structural model:
abc: 13.081 13.081 13.081
angles: 23.21 23.21 23.21
Fractional positions:
Cs  0.114  0.114  0.114
Cs  0.886  0.886  0.886
Tm  0.304  0.304  0.304
Tm  0.696  0.696  0.696
Pb  0.386  0.386  0.386
Pb  0.614  0.614  0.614

The 10 most intense peaks (10° ≤ 2θ ≤ 80°), by intensity:
| d/Å | intensity |
| --- | --- |
| 4.112 | 100 |
| 2.631 | 98 |
| 2.926 | 72 |
| 2.027 | 38 |
| 2.576 | 26 |
| 1.956 | 23 |
| 1.570 | 23 |
| 2.340 | 23 |
| 3.181 | 22 |
| 1.397 | 20 |

---

[4]
Diffraction record for CsZnPb2. The XRD peak list is simulated, not measured: it uses a DFT-relaxed cell (GGA-PBE, Alexandria) and Cu Ka.
Lines closer than 0.1° are merged.

Structural model:
abc: 8.256 8.256 8.256
angles: 34.01 34.01 34.01
Fractional positions:
Cs  0.000  0.000  0.000
Zn  0.821  0.821  0.821
Pb  0.204  0.204  0.204
Pb  0.454  0.454  0.454

The 10 most intense peaks (10° ≤ 2θ ≤ 80°), by intensity:
| d/Å | intensity |
| --- | --- |
| 3.398 | 100 |
| 3.113 | 97 |
| 2.414 | 88 |
| 7.771 | 66 |
| 2.391 | 36 |
| 4.116 | 33 |
| 1.908 | 24 |
| 1.890 | 24 |
| 1.766 | 24 |
| 2.306 | 23 |

---

[5]
Diffraction record for CsZn2Pb. The XRD peak list is simulated, not measured: it uses a DFT-relaxed cell (GGA-PBE, Alexandria) and Cu Ka.
Lines closer than 0.1° are merged.

Structural model:
abc: 10.369 10.369 10.369
angles: 147.21 147.21 47.06
Fractional positions:
Cs  0.375  0.625  0.750
Cs  0.625  0.375  0.250
Zn  0.000  0.000  0.000
Zn  0.000  0.000  0.500
Zn  0.000  0.500  0.000
Zn  0.500  0.000  0.500
Pb  0.125  0.875  0.250
Pb  0.875  0.125  0.750

The 10 most intense peaks (10° ≤ 2θ ≤ 80°), by intensity:
| d/Å | intensity |
| --- | --- |
| 3.795 | 100 |
| 2.516 | 34 |
| 2.492 | 33 |
| 5.594 | 33 |
| 1.898 | 30 |
| 1.817 | 26 |
| 2.927 | 26 |
| 1.598 | 17 |
| 2.377 | 15 |
| 1.845 | 14 |

---

[6]
Diffraction record for CsPd. The XRD peak list is simulated, not measured: it uses a DFT-relaxed cell (GGA-PBE, Alexandria) and Cu Ka.
Lines closer than 0.1° are merged.

Structural model:
abc: 6.389 6.389 4.842
angles: 90.00 90.00 129.40
Fractional positions:
Cs  0.149  0.851  0.750
Cs  0.851  0.149  0.250
Pd  0.461  0.539  0.750
Pd  0.539  0.461  0.250

The 10 most intense peaks (10° ≤ 2θ ≤ 80°), by intensity:
| d/Å | intensity |
| --- | --- |
| 3.457 | 100 |
| 3.147 | 94 |
| 1.919 | 45 |
| 2.731 | 44 |
| 2.639 | 38 |
| 2.480 | 32 |
| 2.421 | 31 |
| 1.811 | 26 |
| 1.836 | 25 |
| 3.710 | 18 |

---

[7]
Diffraction record for CsPdPtS2. The XRD peak list is simulated, not measured: it uses a DFT-relaxed cell (GGA-PBE, Alexandria) and Cu Ka.
Lines closer than 0.1° are merged.

Structural model:
abc: 8.490 8.490 4.781
angles: 90.00 90.00 130.01
Fractional positions:
Cs  0.250  0.750  0.859
Cs  0.750  0.250  0.141
Pd  0.000  0.000  0.000
Pd  0.500  0.500  0.000
Pt  0.250  0.250  0.500
Pt  0.750  0.750  0.500
S  0.094  0.906  0.385
S  0.406  0.594  0.385
S  0.594  0.406  0.615
S  0.906  0.094  0.615

The 10 most intense peaks (10° ≤ 2θ ≤ 80°), by intensity:
| d/Å | intensity |
| --- | --- |
| 7.695 | 100 |
| 2.300 | 94 |
| 3.848 | 89 |
| 2.869 | 55 |
| 4.061 | 41 |
| 2.689 | 33 |
| 2.283 | 28 |
| 3.144 | 27 |
| 1.598 | 25 |
| 3.251 | 24 |

---

[8]
Diffraction record for Cs2PuPd2S4. The XRD peak list is simulated, not measured: it uses a DFT-relaxed cell (GGA-PBE, Alexandria) and Cu Ka.
Lines closer than 0.1° are merged.

Structural model:
abc: 7.741 7.741 8.087
angles: 107.05 107.05 30.72
Fractional positions:
Cs  0.137  0.137  0.068
Cs  0.863  0.863  0.932
Pu  0.000  0.000  0.500
Pd  0.316  0.316  0.502
Pd  0.684  0.684  0.498
S  0.187  0.187  0.653
S  0.483  0.483  0.711
S  0.517  0.517  0.289
S  0.813  0.813  0.347

The 10 most intense peaks (10° ≤ 2θ ≤ 80°), by intensity:
| d/Å | intensity |
| --- | --- |
| 2.695 | 100 |
| 7.704 | 71 |
| 3.099 | 65 |
| 3.852 | 57 |
| 2.878 | 51 |
| 1.809 | 44 |
| 3.940 | 30 |
| 3.682 | 29 |
| 2.050 | 25 |
| 2.909 | 24 |

---

[9]
Diffraction record for CsPu4Pd3S12. The XRD peak list is simulated, not measured: it uses a DFT-relaxed cell (GGA-PBE, Alexandria) and Cu Ka.
Lines closer than 0.1° are merged.

Structural model:
abc: 8.492 8.492 8.492
angles: 109.47 109.47 109.47
Fractional positions:
Cs  0.000  0.000  0.000
Pu  0.000  0.000  0.500
Pu  0.000  0.500  0.000
Pu  0.500  0.000  0.000
Pu  0.500  0.500  0.500
Pd  0.000  0.500  0.500
Pd  0.500  0.000  0.500
Pd  0.500  0.500  0.000
S  0.158  0.324  0.834
S  0.166  0.489  0.324
S  0.166  0.842  0.676
S  0.324  0.166  0.489
S  0.324  0.834  0.158
S  0.489  0.324  0.166
S  0.511  0.676  0.834
S  0.676  0.166  0.842
S  0.676  0.834  0.511
S  0.834  0.158  0.324
S  0.834  0.511  0.676
S  0.842  0.676  0.166

The 10 most intense peaks (10° ≤ 2θ ≤ 80°), by intensity:
| d/Å | intensity |
| --- | --- |
| 3.467 | 100 |
| 2.002 | 60 |
| 2.451 | 24 |
| 1.310 | 24 |
| 1.550 | 23 |
| 4.903 | 16 |
| 1.733 | 15 |
| 2.193 | 12 |
| 1.415 | 6 |
| 3.101 | 4 |

---

[10]
Diffraction record for Cs4Rb5Pd2. The XRD peak list is simulated, not measured: it uses a DFT-relaxed cell (GGA-PBE, Alexandria) and Cu Ka.
Lines closer than 0.1° are merged.

Structural model:
abc: 11.628 4.961 14.547
angles: 90.00 105.42 90.00
Fractional positions:
Cs  0.151  0.000  0.437
Cs  0.160  0.000  0.768
Cs  0.840  0.000  0.232
Cs  0.849  0.000  0.563
Rb  0.178  0.500  0.123
Rb  0.429  0.500  0.646
Rb  0.500  0.500  0.000
Rb  0.571  0.500  0.354
Rb  0.822  0.500  0.877
Pd  0.090  0.500  0.582
Pd  0.910  0.500  0.418

The 10 most intense peaks (10° ≤ 2θ ≤ 80°), by intensity:
| d/Å | intensity |
| --- | --- |
| 3.445 | 100 |
| 4.011 | 93 |
| 3.736 | 78 |
| 4.178 | 76 |
| 3.957 | 71 |
| 2.068 | 58 |
| 2.806 | 51 |
| 3.054 | 48 |
| 2.480 | 48 |
| 2.420 | 45 |

---

[11]
Diffraction record for Cs4Rb2Pd. The XRD peak list is simulated, not measured: it uses a DFT-relaxed cell (GGA-PBE, Alexandria) and Cu Ka.
Lines closer than 0.1° are merged.

Structural model:
abc: 12.216 12.216 12.216
angles: 97.16 97.16 138.65
Fractional positions:
Cs  0.084  0.837  0.921
Cs  0.163  0.084  0.247
Cs  0.337  0.584  0.921
Cs  0.416  0.337  0.753
Cs  0.584  0.663  0.247
Cs  0.663  0.416  0.079
Cs  0.837  0.916  0.753
Cs  0.916  0.163  0.079
Rb  0.101  0.399  0.500
Rb  0.399  0.899  0.298
Rb  0.601  0.101  0.702
Rb  0.899  0.601  0.500
Pd  0.250  0.250  0.000
Pd  0.750  0.750  0.000

The 10 most intense peaks (10° ≤ 2θ ≤ 80°), by intensity:
| d/Å | intensity |
| --- | --- |
| 3.978 | 100 |
| 2.949 | 48 |
| 3.296 | 38 |
| 4.313 | 38 |
| 3.569 | 31 |
| 2.150 | 30 |
| 2.835 | 30 |
| 2.420 | 28 |
| 8.082 | 26 |
| 4.041 | 19 |

---

[12]
Diffraction record for Cs2RbTe2Pd. The XRD peak list is simulated, not measured: it uses a DFT-relaxed cell (GGA-PBE, Alexandria) and Cu Ka.
Lines closer than 0.1° are merged.

Structural model:
abc: 9.717 9.717 9.717
angles: 125.09 74.59 133.70
Fractional positions:
Cs  0.172  0.189  0.361
Cs  0.328  0.689  0.017
Cs  0.672  0.311  0.983
Cs  0.828  0.811  0.639
Rb  0.250  0.750  0.500
Rb  0.750  0.250  0.500
Te  0.079  0.813  0.892
Te  0.421  0.313  0.734
Te  0.579  0.687  0.266
Te  0.921  0.187  0.108
Pd  0.250  0.250  0.000
Pd  0.750  0.750  0.000

The 10 most intense peaks (10° ≤ 2θ ≤ 80°), by intensity:
| d/Å | intensity |
| --- | --- |
| 3.219 | 100 |
| 7.742 | 86 |
| 2.907 | 68 |
| 2.929 | 41 |
| 2.718 | 38 |
| 2.069 | 29 |
| 2.326 | 25 |
| 3.425 | 21 |
| 3.820 | 20 |
| 1.600 | 18 |

---

[13]
Diffraction record for CsTh4Pd3S12. The XRD peak list is simulated, not measured: it uses a DFT-relaxed cell (GGA-PBE, Alexandria) and Cu Ka.
Lines closer than 0.1° are merged.

Structural model:
abc: 8.747 8.747 8.747
angles: 109.47 109.47 109.47
Fractional positions:
Cs  0.000  0.000  0.000
Th  0.000  0.000  0.500
Th  0.000  0.500  0.000
Th  0.500  0.000  0.000
Th  0.500  0.500  0.500
Pd  0.000  0.500  0.500
Pd  0.500  0.000  0.500
Pd  0.500  0.500  0.000
S  0.160  0.487  0.327
S  0.160  0.833  0.673
S  0.167  0.327  0.840
S  0.327  0.160  0.487
S  0.327  0.840  0.167
S  0.487  0.327  0.160
S  0.513  0.673  0.840
S  0.673  0.160  0.833
S  0.673  0.840  0.513
S  0.833  0.673  0.160
S  0.840  0.167  0.327
S  0.840  0.513  0.673

The 10 most intense peaks (10° ≤ 2θ ≤ 80°), by intensity:
| d/Å | intensity |
| --- | --- |
| 3.571 | 100 |
| 2.062 | 60 |
| 1.350 | 24 |
| 1.597 | 24 |
| 2.525 | 24 |
| 1.785 | 15 |
| 5.050 | 13 |
| 2.258 | 11 |
| 1.458 | 7 |
| 3.194 | 5 |